(1)
Simulated powder diffractogram
Compound: LiMn2OF3
Radiation: Cu Kα (λ = 1.5418 Å)
Structure: a cell relaxed with PBE+U
Intensities are scaled so that the largest is 100.

Structural model:
a = 6.3224 Å, b = 6.3525 Å, c = 8.8874 Å
α = 90.00°, β = 90.00°, γ = 90.00°
Fractional coordinates of all 28 atoms:
Li 0.2484 0.2500 0.2330
Li 0.2516 0.7500 0.7330
Li 0.7484 0.2500 0.2670
Li 0.7516 0.7500 0.7670
Mn 0.0000 0.0000 0.5000
Mn 0.0000 0.5000 0.5000
Mn 0.0359 0.2500 0.8881
Mn 0.4641 0.7500 0.3881
Mn 0.5000 0.0000 0.0000
Mn 0.5000 0.5000 0.0000
Mn 0.5359 0.2500 0.6119
Mn 0.9641 0.7500 0.1119
O 0.2037 0.7500 0.5112
O 0.2963 0.2500 0.0112
O 0.7037 0.7500 0.9888
O 0.7963 0.2500 0.4888
F 0.0105 0.0161 0.2461
F 0.0105 0.4839 0.2461
F 0.2440 0.7500 0.9841
F 0.2560 0.2500 0.4841
F 0.4895 0.5161 0.7461
F 0.4895 0.9839 0.7461
F 0.5105 0.0161 0.2539
F 0.5105 0.4839 0.2539
F 0.7440 0.7500 0.5159
F 0.7560 0.2500 0.0159
F 0.9895 0.5161 0.7539
F 0.9895 0.9839 0.7539

Largest 8 diffraction maxima, sorted by position, 10 to 80 degrees two-theta:
| two_theta | intensity |
| --- | --- |
| 17.18 | 23 |
| 19.98 | 30 |
| 28.26 | 90 |
| 33.15 | 100 |
| 33.40 | 52 |
| 50.08 | 22 |
| 53.17 | 24 |
| 58.50 | 50 |

(2)
Simulated powder diffractogram
Compound: Li4MnO2F3
Radiation: Cu Kα (λ = 1.5418 Å)
Structure: a cell relaxed with PBE+U
Intensities are scaled so that the largest is 100.

Structural model:
a = 5.5327 Å, b = 5.7656 Å, c = 7.6875 Å
α = 101.31°, β = 99.17°, γ = 111.86°
Fractional coordinates of all 20 atoms:
Li 0.0000 0.0000 0.0000
Li 0.0000 0.5000 0.5000
Li 0.0920 0.1858 0.6427
Li 0.3552 0.6030 0.9457
Li 0.3891 0.9760 0.7290
Li 0.6109 0.0240 0.2710
Li 0.6448 0.3970 0.0543
Li 0.9080 0.8142 0.3573
Mn 0.3031 0.4167 0.2973
Mn 0.6969 0.5833 0.7027
O 0.0244 0.1732 0.3647
O 0.4632 0.3488 0.7997
O 0.5368 0.6512 0.2003
O 0.9756 0.8268 0.6353
F 0.0098 0.5506 0.2187
F 0.3512 0.1110 0.1030
F 0.3984 0.6793 0.5547
F 0.6016 0.3207 0.4453
F 0.6488 0.8890 0.8970
F 0.9902 0.4494 0.7813

Largest 8 diffraction maxima, sorted by position, 10 to 80 degrees two-theta:
| two_theta | intensity |
| --- | --- |
| 17.26 | 100 |
| 18.14 | 68 |
| 18.94 | 81 |
| 24.13 | 38 |
| 24.43 | 39 |
| 28.36 | 33 |
| 33.89 | 37 |
| 36.72 | 32 |

(3)
Simulated powder diffractogram
Compound: LiMn2O2F3
Radiation: Cu Kα (λ = 1.5418 Å)
Structure: a cell relaxed with PBE+U
Intensities are scaled so that the largest is 100.

Structural model:
a = 6.0834 Å, b = 6.0834 Å, c = 6.9023 Å
α = 107.24°, β = 107.24°, γ = 48.64°
Fractional coordinates of all 16 atoms:
Li 0.0245 0.0245 0.2463
Li 0.9755 0.9755 0.7537
Mn 0.2030 0.4084 0.8764
Mn 0.2495 0.3767 0.3812
Mn 0.5916 0.7970 0.1236
Mn 0.6233 0.7505 0.6188
O 0.0360 0.5771 0.6206
O 0.3889 0.2088 0.1164
O 0.4229 0.9640 0.3794
O 0.7912 0.6111 0.8836
F 0.2197 0.7803 0.0000
F 0.2266 0.0181 0.7005
F 0.5776 0.4224 0.5000
F 0.5909 0.1578 0.7914
F 0.8422 0.4091 0.2086
F 0.9819 0.7734 0.2995

Largest 8 diffraction maxima, sorted by position, 10 to 80 degrees two-theta:
| two_theta | intensity |
| --- | --- |
| 16.91 | 100 |
| 19.64 | 31 |
| 27.08 | 32 |
| 31.20 | 57 |
| 31.48 | 68 |
| 37.48 | 19 |
| 46.97 | 31 |
| 51.94 | 34 |